Diffraction record for SnSbS2. The XRD peak list is simulated, not measured: it uses DFT lattice parameters and positions (GGA-PBE) and a wavelength of 1.5418 Å.

Principal peaks in the range 2θ = 10–90°, in order of rising 2θ:
(2 0 -1), 2θ 16.21, intensity 54.1; (4 0 0), 2θ 19.65, intensity 77.0; (1 1 0), 2θ 23.88, intensity 46.5; (0 0 2), 2θ 26.58, intensity 52.4; (1 1 1), 2θ 27.46, intensity 44.0; (3 1 1), 2θ 31.02, intensity 47.8; (4 0 2), 2θ 33.80, intensity 54.9; (5 1 -1), 2θ 36.51, intensity 100.0; (5 1 1), 2θ 37.11, intensity 53.5; (1 1 -3), 2θ 47.28, intensity 53.2

Cell and atoms:
abc: 18.0771 3.8084 6.7094
angles: 90.00 91.83 90.00
Space group C2/m (No. 12)
Asymmetric unit:
Sn  0.2426  0.0000  0.2423 [4 per cell]
Sb  0.0312  0.5000  0.7003 [4 per cell]
S  0.1130  0.0000  0.5886 [4 per cell]
S  0.1654  0.5000  0.0643 [4 per cell]